For Na5B8C2, DFT lattice parameters and positions (PBE) gives the theoretical X-ray powder pattern in this record (a wavelength of 1.5418 Å).
No peak broadening, texture or thermal motion is included.

Most intense lines, 10° ≤ 2θ ≤ 90°, by angle:
hkl 0 1 5, 35.89°, 2.502 Å, intensity 18
hkl 2 0 10, 40.19°, 2.244 Å, intensity 51
hkl 2 1 5, 41.74°, 2.164 Å, intensity 100
hkl 4 0 0, 41.90°, 2.156 Å, intensity 37
hkl 0 1 15, 62.23°, 1.492 Å, intensity 18
hkl 4 1 15, 77.87°, 1.227 Å, intensity 17

Cell and atoms:
Cell: 8.6241 2.8449 26.2794 Å, 90.00 90.00 90.00°
Space group Amm2 (No. 38)
Symmetry-distinct sites (fractional):
Na 0.2439 0.0000 0.0000
Na 0.2484 0.0000 0.4001
Na 0.2475 0.0000 0.8000
Na 0.2491 0.0000 0.5999
Na 0.2496 0.0000 0.1998
B 0.0000 0.0000 0.0736
B 0.0000 0.0000 0.2605
B 0.0000 0.0000 0.3310
B 0.0000 0.0000 0.4639
B 0.0000 0.0000 0.5337
B 0.0000 0.0000 0.6664
B 0.0000 0.0000 0.8702
B 0.5000 0.0000 0.0647
B 0.5000 0.0000 0.1274
B 0.5000 0.0000 0.2704
B 0.5000 0.0000 0.3351
B 0.5000 0.0000 0.5254
B 0.5000 0.0000 0.6684
B 0.5000 0.0000 0.7315
B 0.5000 0.0000 0.8716
B 0.5000 0.0000 0.9375
C 0.0000 0.0000 0.1354
C 0.0000 0.0000 0.7300
C 0.0000 0.0000 0.9329
C 0.5000 0.0000 0.4661